Simulated powder X-ray diffraction pattern
Compound: Na2TmPWO8
Radiation: CuKα
Structure: DFT lattice parameters and positions (PBE+U)
Lines closer than 0.1° are merged.

Structural model:
a b c (Å): 11.490 11.490 11.490
angles (deg): 145.22 116.27 74.70
Atoms (fractional coordinates):
Na  0.099  0.656  0.446
Na  0.210  0.156  0.056
Na  0.290  0.346  0.946
Na  0.401  0.846  0.556
Na  0.599  0.154  0.444
Na  0.710  0.654  0.054
Na  0.790  0.844  0.944
Na  0.901  0.344  0.554
Tm  0.178  0.750  0.928
Tm  0.322  0.250  0.572
Tm  0.678  0.750  0.428
Tm  0.822  0.250  0.072
P  0.069  0.250  0.319
P  0.431  0.750  0.181
P  0.569  0.250  0.819
P  0.931  0.750  0.681
W  0.074  0.824  0.250
W  0.426  0.676  0.750
W  0.574  0.324  0.250
W  0.926  0.176  0.750
O  0.060  0.326  0.250
O  0.075  0.826  0.766
O  0.102  0.186  0.828
O  0.105  0.666  0.009
O  0.142  0.726  0.328
O  0.143  0.420  0.575
O  0.155  0.080  0.223
O  0.157  0.096  0.491
O  0.343  0.834  0.939
O  0.345  0.567  0.925
O  0.357  0.933  0.277
O  0.358  0.686  0.584
O  0.395  0.404  0.561
O  0.398  0.226  0.084
O  0.425  0.190  0.750
O  0.440  0.690  0.266
O  0.560  0.310  0.734
O  0.575  0.810  0.250
O  0.602  0.774  0.916
O  0.605  0.596  0.439
O  0.642  0.314  0.416
O  0.643  0.067  0.723
O  0.655  0.433  0.075
O  0.657  0.166  0.061
O  0.843  0.904  0.509
O  0.845  0.920  0.777
O  0.857  0.580  0.425
O  0.858  0.274  0.672
O  0.895  0.334  0.991
O  0.898  0.814  0.172
O  0.925  0.174  0.234
O  0.940  0.674  0.750

Main lines, low angle first (15° ≤ 2θ ≤ 90°):
| Position (°2θ) | intensity |
| --- | --- |
| 17.73 | 90 |
| 20.13 | 35 |
| 24.53 | 65 |
| 27.39 | 56 |
| 27.75 | 100 |
| 29.33 | 50 |
| 31.48 | 33 |
| 32.31 | 37 |
| 32.64 | 60 |
| 35.55 | 38 |